For LiLa2AgS4, a cell relaxed with PBE gives the calculated XRD peak list in this record (copper Kα).

Principal peaks in the range 2θ from 10° to 80°, in order of rising 2θ:
2theta	I (rel.)
13.10	16
14.61	26
24.94	17
26.32	55
31.25	51
31.53	100
42.89	45
43.02	21
47.01	31
47.30	15
54.13	20
71.65	17

Crystal structure
```
data_LiLa2AgS4
_cell_length_a 6.5546
_cell_length_b 4.2051
_cell_length_c 7.3110
_cell_angle_alpha 90.00
_cell_angle_beta 112.38
_cell_angle_gamma 90.00
_symmetry_space_group_name_H-M 'P 1'
_symmetry_Int_Tables_number 1
_symmetry_space_group_name_Hall 'P 1'
loop_
_atom_site_label
_atom_site_type_symbol
_atom_site_fract_x
_atom_site_fract_y
_atom_site_fract_z
_atom_site_occupancy
Li1 Li 0.0000 0.0000 0.0000 1
La1 La 0.5000 0.0000 0.5000 1
La2 La 0.5000 0.5000 0.0000 1
Ag1 Ag 0.0000 0.5000 0.5000 1
S1 S 0.2442 0.0000 0.7495 1
S2 S 0.2457 0.5000 0.2427 1
S3 S 0.7543 0.5000 0.7573 1
S4 S 0.7558 0.0000 0.2505 1
```

For Ac3Ge2N, a cell relaxed with PBE gives the calculated XRD peak list in this record (copper Kα).

Principal peaks in the range 2θ from 10° to 80°, in order of rising 2θ:
2theta	I (rel.)
23.66	53
26.54	59
28.06	72
29.50	23
29.62	100
35.05	35
41.25	82
45.89	19
52.28	19
54.65	23
59.62	29
66.47	20

Crystal structure
```
data_Ac3Ge2N
_cell_length_a 3.9553
_cell_length_b 6.3601
_cell_length_c 13.9849
_cell_angle_alpha 90.00
_cell_angle_beta 90.00
_cell_angle_gamma 90.00
_symmetry_space_group_name_H-M 'P 1'
_symmetry_Int_Tables_number 1
_symmetry_space_group_name_Hall 'P 1'
loop_
_atom_site_label
_atom_site_type_symbol
_atom_site_fract_x
_atom_site_fract_y
_atom_site_fract_z
_atom_site_occupancy
Ac1 Ac 0.0000 0.0000 0.0000 1
Ac2 Ac 0.0000 0.0000 0.3670 1
Ac3 Ac 0.0000 0.0000 0.6330 1
Ac4 Ac 0.5000 0.5000 0.1330 1
Ac5 Ac 0.5000 0.5000 0.5000 1
Ac6 Ac 0.5000 0.5000 0.8670 1
Ge1 Ge 0.0000 0.5000 0.3245 1
Ge2 Ge 0.0000 0.5000 0.6755 1
Ge3 Ge 0.5000 0.0000 0.1755 1
Ge4 Ge 0.5000 0.0000 0.8245 1
N1 N 0.0000 0.5000 0.0000 1
N2 N 0.5000 0.0000 0.5000 1
```

For MgH, a cell relaxed with PBE gives the calculated XRD peak list in this record (copper Kα).

Principal peaks in the range 2θ from 10° to 80°, in order of rising 2θ:
2theta	I (rel.)
20.74	22
29.50	64
36.33	100
42.20	22
47.47	20
52.33	7
56.88	19
65.37	53
73.31	12
77.15	7

Crystal structure
```
data_MgH
_cell_length_a 6.0568
_cell_length_b 6.0568
_cell_length_c 6.0568
_cell_angle_alpha 90.00
_cell_angle_beta 90.00
_cell_angle_gamma 90.00
_symmetry_space_group_name_H-M 'P 1'
_symmetry_Int_Tables_number 1
_symmetry_space_group_name_Hall 'P 1'
loop_
_atom_site_label
_atom_site_type_symbol
_atom_site_fract_x
_atom_site_fract_y
_atom_site_fract_z
_atom_site_occupancy
Mg1 Mg 0.1863 0.1863 0.8137 1
Mg2 Mg 0.1863 0.8137 0.1863 1
Mg3 Mg 0.3137 0.3137 0.3137 1
Mg4 Mg 0.3137 0.6863 0.6863 1
Mg5 Mg 0.6863 0.3137 0.6863 1
Mg6 Mg 0.6863 0.6863 0.3137 1
Mg7 Mg 0.8137 0.1863 0.1863 1
Mg8 Mg 0.8137 0.8137 0.8137 1
H1 H 0.1340 0.1340 0.1340 1
H2 H 0.1340 0.8660 0.8660 1
H3 H 0.3660 0.3660 0.6340 1
H4 H 0.3660 0.6340 0.3660 1
H5 H 0.6340 0.3660 0.3660 1
H6 H 0.6340 0.6340 0.6340 1
H7 H 0.8660 0.1340 0.8660 1
H8 H 0.8660 0.8660 0.1340 1
```

For CeNdTmCd, a cell relaxed with PBE gives the calculated XRD peak list in this record (copper Kα).

Principal peaks in the range 2θ from 10° to 80°, in order of rising 2θ:
2theta	I (rel.)
19.77	2
32.57	100
38.39	1
46.72	18
51.20	1
58.11	38
68.22	12
77.66	16

Crystal structure
```
data_CeNdTmCd
_cell_length_a 7.7764
_cell_length_b 7.7764
_cell_length_c 7.7764
_cell_angle_alpha 90.00
_cell_angle_beta 90.00
_cell_angle_gamma 90.00
_symmetry_space_group_name_H-M 'P 1'
_symmetry_Int_Tables_number 1
_symmetry_space_group_name_Hall 'P 1'
loop_
_atom_site_label
_atom_site_type_symbol
_atom_site_fract_x
_atom_site_fract_y
_atom_site_fract_z
_atom_site_occupancy
Ce1 Ce 0.0000 0.0000 0.0000 1
Ce2 Ce 0.0000 0.5000 0.5000 1
Ce3 Ce 0.5000 0.0000 0.5000 1
Ce4 Ce 0.5000 0.5000 0.0000 1
Nd1 Nd 0.0000 0.0000 0.5000 1
Nd2 Nd 0.0000 0.5000 0.0000 1
Nd3 Nd 0.5000 0.0000 0.0000 1
Nd4 Nd 0.5000 0.5000 0.5000 1
Tm1 Tm 0.2500 0.2500 0.2500 1
Tm2 Tm 0.2500 0.7500 0.7500 1
Tm3 Tm 0.7500 0.2500 0.7500 1
Tm4 Tm 0.7500 0.7500 0.2500 1
Cd1 Cd 0.2500 0.2500 0.7500 1
Cd2 Cd 0.2500 0.7500 0.2500 1
Cd3 Cd 0.7500 0.2500 0.2500 1
Cd4 Cd 0.7500 0.7500 0.7500 1
```

For Ba6MgNb2IrCl2O12, a cell relaxed with PBE gives the calculated XRD peak list in this record (copper Kα).

Principal peaks in the range 2θ from 10° to 80°, in order of rising 2θ:
2theta	I (rel.)
17.30	18
21.00	15
24.73	19
26.52	18
29.13	16
29.75	100
29.96	14
30.93	22
40.28	15
42.74	15
43.61	17
52.83	15

Crystal structure
```
data_Ba6MgNb2IrCl2O12
_cell_length_a 6.0330
_cell_length_b 6.0330
_cell_length_c 16.0104
_cell_angle_alpha 96.14
_cell_angle_beta 96.14
_cell_angle_gamma 59.67
_symmetry_space_group_name_H-M 'P 1'
_symmetry_Int_Tables_number 1
_symmetry_space_group_name_Hall 'P 1'
loop_
_atom_site_label
_atom_site_type_symbol
_atom_site_fract_x
_atom_site_fract_y
_atom_site_fract_z
_atom_site_occupancy
Ba1 Ba 0.0000 0.0000 0.0000 1
Ba2 Ba 0.0059 0.0059 0.2446 1
Ba3 Ba 0.1420 0.1420 0.6387 1
Ba4 Ba 0.6674 0.6674 0.1174 1
Ba5 Ba 0.6991 0.6991 0.3720 1
Ba6 Ba 0.8349 0.8349 0.7753 1
Mg1 Mg 0.2245 0.2245 0.8374 1
Nb1 Nb 0.3342 0.3342 0.1991 1
Nb2 Nb 0.5124 0.5124 0.8376 1
Ir1 Ir 0.3663 0.3663 0.9998 1
Cl1 Cl 0.0856 0.0856 0.4401 1
Cl2 Cl 0.7423 0.7423 0.5816 1
O1 O 0.0382 0.5462 0.2639 1
O2 O 0.1575 0.1575 0.1348 1
O3 O 0.1626 0.5793 0.8964 1
O4 O 0.1641 0.6025 0.0984 1
O5 O 0.3293 0.8476 0.7857 1
O6 O 0.3378 0.3378 0.7418 1
O7 O 0.5207 0.5207 0.2482 1
O8 O 0.5462 0.0382 0.2639 1
O9 O 0.5793 0.1626 0.8964 1
O10 O 0.6025 0.1641 0.0984 1
O11 O 0.6190 0.6190 0.9383 1
O12 O 0.8476 0.3293 0.7857 1
```

For AlAgS, a cell relaxed with PBE gives the calculated XRD peak list in this record (copper Kα).

Principal peaks in the range 2θ from 10° to 80°, in order of rising 2θ:
2theta	I (rel.)
17.56	50
25.42	100
31.33	21
31.96	12
33.08	15
38.40	26
40.66	20
42.18	49
46.21	25
46.66	13
52.27	24
63.25	29

Crystal structure
```
data_AlAgS
_cell_length_a 4.4379
_cell_length_b 5.7099
_cell_length_c 10.8304
_cell_angle_alpha 90.00
_cell_angle_beta 90.00
_cell_angle_gamma 90.00
_symmetry_space_group_name_H-M 'P 1'
_symmetry_Int_Tables_number 1
_symmetry_space_group_name_Hall 'P 1'
loop_
_atom_site_label
_atom_site_type_symbol
_atom_site_fract_x
_atom_site_fract_y
_atom_site_fract_z
_atom_site_occupancy
Al1 Al 0.0000 0.2256 0.0000 1
Al2 Al 0.0000 0.7744 0.0000 1
Al3 Al 0.5000 0.2744 0.5000 1
Al4 Al 0.5000 0.7256 0.5000 1
Ag1 Ag 0.0000 0.5000 0.3797 1
Ag2 Ag 0.0000 0.5000 0.6203 1
Ag3 Ag 0.5000 0.0000 0.1203 1
Ag4 Ag 0.5000 0.0000 0.8797 1
S1 S 0.0000 0.5000 0.1521 1
S2 S 0.0000 0.5000 0.8479 1
S3 S 0.5000 0.0000 0.3479 1
S4 S 0.5000 0.0000 0.6521 1
```

For Pr2Y2Er, a cell relaxed with PBE gives the calculated XRD peak list in this record (copper Kα).

Principal peaks in the range 2θ from 10° to 80°, in order of rising 2θ:
2theta	I (rel.)
28.05	45
28.18	25
30.87	72
32.09	100
32.10	99
32.21	95
42.19	30
49.79	38
55.70	60
59.52	22
59.74	43
60.34	31

Crystal structure
```
data_Pr2Y2Er
_cell_length_a 8.6040
_cell_length_b 8.6040
_cell_length_c 6.8654
_cell_angle_alpha 102.97
_cell_angle_beta 102.97
_cell_angle_gamma 43.19
_symmetry_space_group_name_H-M 'P 1'
_symmetry_Int_Tables_number 1
_symmetry_space_group_name_Hall 'P 1'
loop_
_atom_site_label
_atom_site_type_symbol
_atom_site_fract_x
_atom_site_fract_y
_atom_site_fract_z
_atom_site_occupancy
Pr1 Pr 0.0185 0.1816 0.4437 1
Pr2 Pr 0.1816 0.0185 0.9437 1
Pr3 Pr 0.8184 0.9815 0.0563 1
Pr4 Pr 0.9815 0.8184 0.5563 1
Y1 Y 0.2207 0.3809 0.8485 1
Y2 Y 0.3809 0.2207 0.3485 1
Y3 Y 0.6191 0.7793 0.6515 1
Y4 Y 0.7793 0.6191 0.1515 1
Er1 Er 0.4161 0.5839 0.2500 1
Er2 Er 0.5839 0.4161 0.7500 1
```

For Hf4Nb, a cell relaxed with PBE gives the calculated XRD peak list in this record (copper Kα).

Principal peaks in the range 2θ from 10° to 80°, in order of rising 2θ:
2theta	I (rel.)
29.99	8
35.91	100
37.31	48
39.17	3
49.55	8
53.78	17
55.20	5
63.63	15
66.38	34
72.29	5
76.13	9
79.53	5

Crystal structure
```
data_Hf4Nb
_cell_length_a 3.4088
_cell_length_b 3.4088
_cell_length_c 18.3978
_cell_angle_alpha 90.00
_cell_angle_beta 90.00
_cell_angle_gamma 90.00
_symmetry_space_group_name_H-M 'P 1'
_symmetry_Int_Tables_number 1
_symmetry_space_group_name_Hall 'P 1'
loop_
_atom_site_label
_atom_site_type_symbol
_atom_site_fract_x
_atom_site_fract_y
_atom_site_fract_z
_atom_site_occupancy
Hf1 Hf 0.0000 0.0000 0.0883 1
Hf2 Hf 0.0000 0.0000 0.3041 1
Hf3 Hf 0.0000 0.0000 0.6959 1
Hf4 Hf 0.0000 0.0000 0.9117 1
Hf5 Hf 0.5000 0.5000 0.1959 1
Hf6 Hf 0.5000 0.5000 0.4117 1
Hf7 Hf 0.5000 0.5000 0.5883 1
Hf8 Hf 0.5000 0.5000 0.8041 1
Nb1 Nb 0.0000 0.0000 0.5000 1
Nb2 Nb 0.5000 0.5000 0.0000 1
```

For Y3Ge4Rh7, a cell relaxed with PBE gives the calculated XRD peak list in this record (copper Kα).

Principal peaks in the range 2θ from 10° to 80°, in order of rising 2θ:
2theta	I (rel.)
35.68	100
36.28	28
36.67	87
38.54	25
39.54	27
42.07	17
42.94	36
44.46	60
45.80	28
47.22	19
63.53	22
69.11	18

Crystal structure
```
data_Y3Ge4Rh7
_cell_length_a 7.9687
_cell_length_b 7.9687
_cell_length_c 9.3599
_cell_angle_alpha 123.58
_cell_angle_beta 123.58
_cell_angle_gamma 29.63
_symmetry_space_group_name_H-M 'P 1'
_symmetry_Int_Tables_number 1
_symmetry_space_group_name_Hall 'P 1'
loop_
_atom_site_label
_atom_site_type_symbol
_atom_site_fract_x
_atom_site_fract_y
_atom_site_fract_z
_atom_site_occupancy
Y1 Y 0.0000 0.0000 0.0000 1
Y2 Y 0.3308 0.3308 0.3351 1
Y3 Y 0.6692 0.6692 0.6649 1
Ge1 Ge 0.1119 0.1119 0.8351 1
Ge2 Ge 0.3338 0.3338 0.7237 1
Ge3 Ge 0.6662 0.6662 0.2763 1
Ge4 Ge 0.8881 0.8881 0.1649 1
Rh1 Rh 0.0000 0.0000 0.5000 1
Rh2 Rh 0.1618 0.1618 0.4238 1
Rh3 Rh 0.3055 0.3055 0.9587 1
Rh4 Rh 0.4934 0.4934 0.7218 1
Rh5 Rh 0.5066 0.5066 0.2782 1
Rh6 Rh 0.6945 0.6945 0.0413 1
Rh7 Rh 0.8382 0.8382 0.5762 1
```

For InHSeNO, a cell relaxed with PBE gives the calculated XRD peak list in this record (copper Kα).

Principal peaks in the range 2θ from 10° to 80°, in order of rising 2θ:
2theta	I (rel.)
12.03	59
24.20	43
31.66	100
34.73	79
36.88	23
42.16	22
45.20	24
54.36	32
55.57	22
60.34	21
63.37	14
67.36	13

Crystal structure
```
data_InHSeNO
_cell_length_a 3.3757
_cell_length_b 3.3757
_cell_length_c 22.0626
_cell_angle_alpha 90.00
_cell_angle_beta 90.00
_cell_angle_gamma 120.00
_symmetry_space_group_name_H-M 'P 1'
_symmetry_Int_Tables_number 1
_symmetry_space_group_name_Hall 'P 1'
loop_
_atom_site_label
_atom_site_type_symbol
_atom_site_fract_x
_atom_site_fract_y
_atom_site_fract_z
_atom_site_occupancy
In1 In 0.0000 0.0000 0.0000 1
In2 In 0.3333 0.6667 0.6667 1
In3 In 0.6667 0.3333 0.3333 1
H1 H 0.0000 0.0000 0.7721 1
H2 H 0.3333 0.6667 0.4388 1
H3 H 0.6667 0.3333 0.1054 1
Se1 Se 0.0000 0.0000 0.5317 1
Se2 Se 0.3333 0.6667 0.1984 1
Se3 Se 0.6667 0.3333 0.8650 1
N1 N 0.0000 0.0000 0.6135 1
N2 N 0.3333 0.6667 0.2802 1
N3 N 0.6667 0.3333 0.9468 1
O1 O 0.0000 0.0000 0.7275 1
O2 O 0.3333 0.6667 0.3941 1
O3 O 0.6667 0.3333 0.0608 1
```

For Sr8Zn2Cd, a cell relaxed with PBE gives the calculated XRD peak list in this record (copper Kα).

Principal peaks in the range 2θ from 10° to 80°, in order of rising 2θ:
2theta	I (rel.)
25.65	23
27.14	100
27.31	15
27.56	16
29.48	41
31.28	51
31.40	29
32.59	14
32.84	14
37.08	13
53.20	19
57.88	17

Crystal structure
```
data_Sr8Zn2Cd
_cell_length_a 10.6824
_cell_length_b 10.6824
_cell_length_c 8.0620
_cell_angle_alpha 106.91
_cell_angle_beta 106.91
_cell_angle_gamma 31.05
_symmetry_space_group_name_H-M 'P 1'
_symmetry_Int_Tables_number 1
_symmetry_space_group_name_Hall 'P 1'
loop_
_atom_site_label
_atom_site_type_symbol
_atom_site_fract_x
_atom_site_fract_y
_atom_site_fract_z
_atom_site_occupancy
Sr1 Sr 0.0359 0.0359 0.2908 1
Sr2 Sr 0.2034 0.2034 0.8231 1
Sr3 Sr 0.3274 0.3274 0.5301 1
Sr4 Sr 0.4050 0.4050 0.0417 1
Sr5 Sr 0.5950 0.5950 0.9583 1
Sr6 Sr 0.6726 0.6726 0.4699 1
Sr7 Sr 0.7966 0.7966 0.1769 1
Sr8 Sr 0.9641 0.9641 0.7092 1
Zn1 Zn 0.1847 0.1847 0.2109 1
Zn2 Zn 0.8153 0.8153 0.7891 1
Cd1 Cd 0.5000 0.5000 0.5000 1
```

For Sr2PmRe2N6, a cell relaxed with PBE gives the calculated XRD peak list in this record (copper Kα).

Principal peaks in the range 2θ from 10° to 80°, in order of rising 2θ:
2theta	I (rel.)
17.26	12
19.27	29
28.84	100
29.88	80
38.82	11
42.00	40
51.11	21
51.76	35
53.68	9
59.74	17
68.22	18
69.86	8

Crystal structure
```
data_Sr2PmRe2N6
_cell_length_a 6.9880
_cell_length_b 6.9880
_cell_length_c 6.9880
_cell_angle_alpha 52.59
_cell_angle_beta 52.59
_cell_angle_gamma 52.59
_symmetry_space_group_name_H-M 'P 1'
_symmetry_Int_Tables_number 1
_symmetry_space_group_name_Hall 'P 1'
loop_
_atom_site_label
_atom_site_type_symbol
_atom_site_fract_x
_atom_site_fract_y
_atom_site_fract_z
_atom_site_occupancy
Sr1 Sr 0.2060 0.2060 0.2060 1
Sr2 Sr 0.7940 0.7940 0.7940 1
Pm1 Pm 0.0000 0.0000 0.0000 1
Re1 Re 0.4189 0.4189 0.4189 1
Re2 Re 0.5811 0.5811 0.5811 1
N1 N 0.2405 0.7436 0.7436 1
N2 N 0.2564 0.2564 0.7595 1
N3 N 0.2564 0.7595 0.2564 1
N4 N 0.7436 0.2405 0.7436 1
N5 N 0.7436 0.7436 0.2405 1
N6 N 0.7595 0.2564 0.2564 1
```

For Ce6YPb10, a cell relaxed with PBE gives the calculated XRD peak list in this record (copper Kα).

Principal peaks in the range 2θ from 10° to 80°, in order of rising 2θ:
2theta	I (rel.)
28.57	20
31.75	75
32.49	76
33.24	100
41.75	13
47.17	27
50.08	17
51.13	14
58.45	20
64.35	18
66.56	15
77.87	12

Crystal structure
```
data_Ce6YPb10
_cell_length_a 9.5458
_cell_length_b 9.5458
_cell_length_c 6.5323
_cell_angle_alpha 90.00
_cell_angle_beta 90.00
_cell_angle_gamma 120.00
_symmetry_space_group_name_H-M 'P 1'
_symmetry_Int_Tables_number 1
_symmetry_space_group_name_Hall 'P 1'
loop_
_atom_site_label
_atom_site_type_symbol
_atom_site_fract_x
_atom_site_fract_y
_atom_site_fract_z
_atom_site_occupancy
Ce1 Ce 0.0000 0.3857 0.2624 1
Ce2 Ce 0.0000 0.6143 0.7376 1
Ce3 Ce 0.3857 0.0000 0.2624 1
Ce4 Ce 0.3857 0.3857 0.7376 1
Ce5 Ce 0.6143 0.0000 0.7376 1
Ce6 Ce 0.6143 0.6143 0.2624 1
Y1 Y 0.0000 0.0000 0.5000 1
Pb1 Pb 0.0000 0.2659 0.7866 1
Pb2 Pb 0.0000 0.7341 0.2134 1
Pb3 Pb 0.2659 0.0000 0.7866 1
Pb4 Pb 0.2659 0.2659 0.2134 1
Pb5 Pb 0.3333 0.6667 0.0000 1
Pb6 Pb 0.3333 0.6667 0.5000 1
Pb7 Pb 0.6667 0.3333 0.0000 1
Pb8 Pb 0.6667 0.3333 0.5000 1
Pb9 Pb 0.7341 0.0000 0.2134 1
Pb10 Pb 0.7341 0.7341 0.7866 1
```